No. 1
Tm4TcHg: computed powder X-ray diffraction pattern (Cu Ka), based on a structure optimized by DFT (GGA-PBE).
Lines closer than 0.1° are merged.

a b c (Å): 8.4321 12.4848 6.2055
angles (deg): 90.00 105.82 90.00
Space group C2/c (No. 15)
Inequivalent atoms, fractional coordinates:
1 Tm 0.1047 0.1712 0.0428 [8 per cell]
2 Tm 0.2182 0.4203 0.4040 [8 per cell]
3 Tc 0.0000 0.0011 0.2500 [4 per cell]
4 Hg 0.0000 0.3729 0.7500 [4 per cell]

Top 10 peaks for 5° ≤ 2θ ≤ 70°, in order of rising 2θ:
29.81 deg, rel. 30.0, (1 1 -2); 29.94 deg, rel. 23.5, (1 3 1); 33.18 deg, rel. 100.0, (2 2 1); 35.18 deg, rel. 12.1, (2 2 -2); 36.23 deg, rel. 28.4, (1 3 -2); 37.69 deg, rel. 16.5, (1 5 0); 39.14 deg, rel. 14.2, (3 3 -1); 39.53 deg, rel. 13.7, (1 5 -1); 49.20 deg, rel. 13.0, (2 6 0); 57.25 deg, rel. 17.3, (4 2 -3)


No. 2
YTcHg3: computed powder X-ray diffraction pattern (Cu Ka), based on a structure optimized by DFT (GGA-PBE).
Lines closer than 0.1° are merged.

a b c (Å): 5.1633 5.1633 5.1633
angles (deg): 90.00 90.00 90.00
Space group Pm-3m (No. 221)
Inequivalent atoms, fractional coordinates:
1 Y 0.0000 0.0000 0.0000 [1 per cell]
2 Tc 0.5000 0.5000 0.5000 [1 per cell]
3 Hg 0.0000 0.5000 0.5000 [3 per cell]

Top 9 peaks for 5° ≤ 2θ ≤ 70°, in order of rising 2θ:
17.17 deg, rel. 35.3, (1 0 0); 29.97 deg, rel. 100.0, (1 1 1); 34.75 deg, rel. 92.1, (2 0 0); 39.01 deg, rel. 19.1, (2 1 0); 49.96 deg, rel. 66.4, (2 2 0); 53.22 deg, rel. 9.8, (3 0 0); 59.37 deg, rel. 44.8, (3 1 1); 62.29 deg, rel. 22.9, (2 2 2); 65.14 deg, rel. 4.3, (3 2 0)


No. 3
Hg2Te: computed powder X-ray diffraction pattern (Cu Ka), based on a structure optimized by DFT (GGA-PBE).
Lines closer than 0.1° are merged.

a b c (Å): 6.0389 6.0389 2.9133
angles (deg): 90.00 90.00 120.00
Space group P6/mmm (No. 191)
Inequivalent atoms, fractional coordinates:
1 Hg 0.3333 0.6667 0.0000 [2 per cell]
2 Te 0.0000 0.0000 0.0000 [1 per cell]

Top 10 peaks for 5° ≤ 2θ ≤ 70°, in order of rising 2θ:
16.95 deg, rel. 7.1, (1 0 0); 29.58 deg, rel. 100.0, (1 1 0); 30.69 deg, rel. 30.4, (0 0 1); 35.26 deg, rel. 2.7, (1 0 1); 43.15 deg, rel. 72.8, (1 1 1); 52.49 deg, rel. 20.6, (3 0 0); 56.24 deg, rel. 1.5, (2 1 1); 61.41 deg, rel. 12.9, (2 2 0); 62.04 deg, rel. 25.0, (3 0 1); 63.91 deg, rel. 3.8, (0 0 2)


No. 4
HgTe: computed powder X-ray diffraction pattern (Cu Ka), based on a structure optimized by DFT (GGA-PBE).
Lines closer than 0.1° are merged.

a b c (Å): 6.6501 6.6501 6.6501
angles (deg): 90.00 90.00 90.00
Space group F-43m (No. 216)
Inequivalent atoms, fractional coordinates:
1 Hg 0.0000 0.0000 0.0000 [4 per cell]
2 Te 0.2500 0.2500 0.7500 [4 per cell]

Top 9 peaks for 5° ≤ 2θ ≤ 70°, in order of rising 2θ:
23.17 deg, rel. 100.0, (1 1 1); 26.81 deg, rel. 5.3, (2 0 0); 38.28 deg, rel. 78.8, (2 2 0); 45.22 deg, rel. 52.2, (3 1 1); 47.35 deg, rel. 1.7, (2 2 2); 55.25 deg, rel. 13.7, (4 0 0); 60.70 deg, rel. 21.9, (3 3 1); 62.45 deg, rel. 2.3, (4 2 0); 69.21 deg, rel. 28.0, (4 2 2)


No. 5
HgTe: computed powder X-ray diffraction pattern (Cu Ka), based on a structure optimized by DFT (GGA-PBE).
Lines closer than 0.1° are merged.

a b c (Å): 4.6865 4.6865 10.3995
angles (deg): 90.00 90.00 120.00
Space group P3_221 (No. 154)
Inequivalent atoms, fractional coordinates:
1 Hg 0.0000 0.3340 0.3333 [3 per cell]
2 Te 0.0000 0.4780 0.8333 [3 per cell]

Top 10 peaks for 5° ≤ 2θ ≤ 70°, in order of rising 2θ:
23.53 deg, rel. 27.6, (0 1 1); 27.89 deg, rel. 100.0, (1 0 2); 38.42 deg, rel. 28.0, (1 1 0); 41.24 deg, rel. 35.5, (0 1 4); 45.54 deg, rel. 9.7, (2 0 1); 46.80 deg, rel. 14.5, (1 1 3); 48.13 deg, rel. 12.5, (0 2 2); 61.06 deg, rel. 15.4, (1 2 1); 63.20 deg, rel. 10.0, (2 1 2); 67.17 deg, rel. 12.7, (1 1 6)


No. 6
Hg5Te3: computed powder X-ray diffraction pattern (Cu Ka), based on a structure optimized by DFT (GGA-PBE).
Lines closer than 0.1° are merged.

a b c (Å): 8.1590 14.2310 18.3751
angles (deg): 90.00 90.00 90.00
Space group Fmmm (No. 69)
Inequivalent atoms, fractional coordinates:
1 Hg 0.0000 0.0978 0.2010 [16 per cell]
2 Hg 0.0000 0.2043 0.3913 [16 per cell]
3 Hg 0.2418 0.0000 0.5000 [8 per cell]
4 Te 0.0000 0.0000 0.3843 [8 per cell]
5 Te 0.0000 0.1414 0.0000 [8 per cell]
6 Te 0.2500 0.2500 0.2500 [8 per cell]

Top 10 peaks for 5° ≤ 2θ ≤ 70°, in order of rising 2θ:
21.79 deg, rel. 60.3, (2 0 0); 27.00 deg, rel. 71.8, (2 2 2); 27.34 deg, rel. 100.0, (1 1 5); 29.28 deg, rel. 34.3, (2 0 4); 33.71 deg, rel. 49.6, (1 5 1); 36.51 deg, rel. 43.7, (1 5 3); 38.89 deg, rel. 75.5, (2 4 4); 39.23 deg, rel. 32.4, (0 6 2); 41.80 deg, rel. 37.1, (3 1 5); 44.41 deg, rel. 34.2, (4 0 0)